The following is a simulated powder X-ray diffraction pattern of Na3TiInSiP2O12. It was derived from the GGA-PBE geometry in the Materials Project, using Cu Kα X-rays.

Structure:
Unit cell a=15.580 b=9.064 c=9.000 alpha=90.00 beta=125.06 gamma=90.00
Space group Cc (No. 9)
Symmetry-distinct sites (fractional):
Na1 0.000 0.068 0.000 [4 per cell]
Na2 0.186 0.399 0.829 [4 per cell]
Na3 0.436 0.226 0.075 [4 per cell]
Ti1 0.293 0.242 0.227 [4 per cell]
In1 0.089 0.253 0.439 [4 per cell]
Si1 0.042 0.392 0.031 [4 per cell]
P1 0.195 0.042 0.846 [4 per cell]
P2 0.338 0.405 0.633 [4 per cell]
O1 0.036 0.429 0.522 [4 per cell]
O2 0.040 0.346 0.200 [4 per cell]
O3 0.121 0.143 0.683 [4 per cell]
O4 0.125 0.041 0.387 [4 per cell]
O5 0.155 0.323 0.073 [4 per cell]
O6 0.241 0.349 0.620 [4 per cell]
O7 0.255 0.068 0.302 [4 per cell]
O8 0.276 0.141 0.009 [4 per cell]
O9 0.337 0.359 0.464 [4 per cell]
O10 0.339 0.421 0.134 [4 per cell]
O11 0.435 0.357 0.820 [4 per cell]
O12 0.443 0.193 0.348 [4 per cell]

The 8 most intense peaks (10° ≤ 2θ ≤ 80°), sorted by position:
| 2theta | I (rel.) |
| --- | --- |
| 13.88 | 44 |
| 19.63 | 58 |
| 19.71 | 73 |
| 23.10 | 46 |
| 27.95 | 37 |
| 31.39 | 100 |
| 34.32 | 52 |
| 34.42 | 28 |